# 1
# CeCuPt3
Simulated PXRD pattern, Cu Kα, 1.54184 Å. Input: a crystal structure in Alexandria, relaxed with PBE.
Intensities are scaled so that the largest is 1000.

Cell: 5.360 7.382 5.006 Å, 90.00 90.00 90.00°
Space group Pbam (No. 55)
Unique sites:
Ce  0.000  0.000  0.000
Cu  0.000  0.500  0.500
Pt  0.000  0.500  0.000
Pt  0.093  0.176  0.500

Peak list (10 most intense, 2θ = 15–90°, low angle first)
2theta  I (rel.)  hkl
30.08  1000  0 2 1
33.43  484  2 0 0
35.64  264  2 1 0
35.88  806  0 0 2
40.07  384  2 1 1
40.33  365  1 3 0
44.36  320  1 3 1
45.58  337  2 2 1
49.85  316  2 0 2
55.07  302  1 3 2

---

# 2
# CeCu6Pt6
Simulated PXRD pattern, Cu Kα, 1.54184 Å. Input: a crystal structure in Alexandria, relaxed with PBE.
Intensities are scaled so that the largest is 1000.

Cell: 5.062 8.604 8.898 Å, 90.00 90.00 90.00°
Space group Immm (No. 71)
Unique sites:
Ce  0.000  0.000  0.000
Cu  0.000  0.500  0.264
Cu  0.250  0.250  0.250
Pt  0.000  0.000  0.345
Pt  0.000  0.304  0.500
Pt  0.000  0.339  0.000

Peak list (10 most intense, 2θ = 15–90°, low angle first)
2theta  I (rel.)  hkl
35.07  266  1 0 3
35.47  562  2 0 0
35.99  971  1 3 0
40.56  314  0 0 4
41.03  1000  2 0 2
41.49  781  1 3 2
45.79  301  1 1 4
45.93  235  0 2 4
46.35  621  2 2 2
74.42  343  1 3 6

---

# 3
# CeYCuPt
Simulated PXRD pattern, Cu Kα, 1.54184 Å. Input: a crystal structure in Alexandria, relaxed with PBE.
Intensities are scaled so that the largest is 1000.

Cell: 4.554 3.779 10.538 Å, 90.00 90.00 90.00°
Space group Amm2 (No. 38)
Unique sites:
Ce  0.000  0.000  0.000
Y  0.500  0.000  0.278
Cu  0.500  0.000  0.559
Pt  0.000  0.000  0.718

Peak list (10 most intense, 2θ = 15–90°, low angle first)
2theta  I (rel.)  hkl
16.83  162  0 0 2
19.49  245  1 0 0
31.92  1000  1 1 1
34.03  264  0 0 4
34.87  285  0 1 3
39.55  665  2 0 0
40.26  795  1 1 3
48.15  198  0 2 0
53.75  190  2 1 3
64.01  319  2 2 0

---

# 4
# Ce2PuCuS5
Simulated PXRD pattern, Cu Kα, 1.54184 Å. Input: a crystal structure in Alexandria, relaxed with PBE.
Intensities are scaled so that the largest is 1000.

Cell: 3.904 16.362 11.874 Å, 90.00 90.00 90.00°
Space group Cmc2_1 (No. 36)
Unique sites:
Ce  0.000  0.117  0.000
Ce  0.000  0.117  0.348
Pu  0.000  0.181  0.680
Cu  0.000  0.452  0.075
S  0.000  0.014  0.667
S  0.000  0.302  0.343
S  0.000  0.315  0.016
S  0.000  0.346  0.674
S  0.000  0.493  0.402

Peak list (10 most intense, 2θ = 15–90°, low angle first)
2theta  I (rel.)  hkl
23.00  204  0 4 1
24.99  539  0 2 3
28.11  348  1 3 0
32.68  1000  1 1 3
33.72  240  0 6 1
36.26  185  0 6 2
38.99  427  1 5 2
45.87  272  0 0 6
46.53  207  2 0 0
60.40  197  1 7 5

---

# 5
# RbCeCu2Se4
Simulated PXRD pattern, Cu Kα, 1.54184 Å. Input: a crystal structure in Alexandria, relaxed with PBE.
Intensities are scaled so that the largest is 1000.

Cell: 6.713 8.024 8.601 Å, 90.00 90.00 90.00°
Space group I222 (No. 23)
Unique sites:
Rb  0.000  0.000  0.000
Ce  0.000  0.000  0.500
Cu  0.000  0.500  0.145
Se  0.250  0.192  0.314

Peak list (10 most intense, 2θ = 15–90°, low angle first)
2theta  I (rel.)  hkl
15.10  574  0 1 1
27.01  1000  1 1 2
27.91  320  1 2 1
30.47  401  0 2 2
33.88  405  2 0 2
34.85  805  2 2 0
41.99  218  1 3 2
45.73  426  1 1 4
47.17  214  3 1 2
60.85  178  3 1 4

---

# 6
# RbCe2Cu2Se6
Simulated PXRD pattern, Cu Kα, 1.54184 Å. Input: a crystal structure in Alexandria, relaxed with PBE.
Intensities are scaled so that the largest is 1000.

Cell: 7.616 7.634 7.896 Å, 91.80 118.60 116.53°
Space group P-1 (No. 2)
Unique sites:
Rb  0.000  0.000  0.000
Ce  0.346  0.014  0.674
Cu  0.042  0.572  0.313
Se  0.127  0.239  0.668
Se  0.249  0.754  0.920
Se  0.449  0.746  0.530

Peak list (10 most intense, 2θ = 15–90°, low angle first)
2theta  I (rel.)  hkl
23.40  157  -2 1 1
25.73  424  1 0 1
26.33  1000  1 1 -2
27.94  458  -2 2 1
34.78  364  1 1 1
35.67  154  1 2 -2
36.01  161  -1 2 2
37.56  201  -2 3 1
40.60  327  3 -2 0
47.03  186  2 2 -1

---

# 7
# CeCuSi2Rh
Simulated PXRD pattern, Cu Kα, 1.54184 Å. Input: a crystal structure in Alexandria, relaxed with PBE.
Intensities are scaled so that the largest is 1000.

Cell: 4.089 4.089 9.999 Å, 90.00 90.00 90.00°
Space group I-4m2 (No. 119)
Unique sites:
Ce  0.000  0.000  0.000
Cu  0.000  0.500  0.250
Si  0.000  0.000  0.380
Rh  0.000  0.500  0.750

Peak list (10 most intense, 2θ = 15–90°, low angle first)
2theta  I (rel.)  hkl
23.51  264  1 0 1
34.73  297  1 0 3
35.89  1000  1 1 2
44.31  319  2 0 0
50.80  181  1 0 5
57.49  137  2 1 3
58.31  135  2 0 4
64.51  237  2 2 0
69.67  100  2 1 5
76.03  243  3 1 2

---

# 8
# Ce3CuSi6Rh2
Simulated PXRD pattern, Cu Kα, 1.54184 Å. Input: a crystal structure in Alexandria, relaxed with PBE.
Intensities are scaled so that the largest is 1000.

Cell: 5.3192 5.3192 9.1264 Å, 90.00 90.00 120.00°
Space group P-3m1 (No. 164)
Unique sites:
Ce  0.0000  0.0000  0.0000
Ce  0.3333  0.6667  0.5782
Cu  0.0000  0.0000  0.5000
Si  0.1691  0.3382  0.2793
Rh  0.3333  0.6667  0.0732

Peak list (10 most intense, 2θ = 15–90°, low angle first)
2theta  I (rel.)  hkl
19.45  330  0 0 2
27.51  906  0 1 2
33.70  1000  1 1 0
39.20  971  1 1 2
44.04  414  2 0 2
44.30  638  0 1 4
56.58  240  1 2 2
63.97  218  0 3 2
67.69  355  1 2 4
70.86  205  2 2 0